TbSi2Ir4: computed XRD peak list (Cu Ka), based on a structure optimized by DFT (GGA-PBE).
Kinematic intensities with the Lorentz-polarization factor, no thermal factor.

Structural model:
```
data_TbSi2Ir4
_chemical_formula_sum 'Tb2 Si4 Ir8'
_cell_length_a 7.623
_cell_length_b 7.623
_cell_length_c 3.845
_cell_angle_alpha 90.00
_cell_angle_beta 90.00
_cell_angle_gamma 90.00
_space_group_name_H-M_alt 'P 42/m n m'
_space_group_IT_number 136
_space_group_name_Hall '-P 4n 2n'
loop_
_atom_site_label
_atom_site_type_symbol
_atom_site_fract_x
_atom_site_fract_y
_atom_site_fract_z
Tb1 Tb 0.000 0.000 0.000
Si1 Si 0.228 0.228 0.500
Ir1 Ir 0.074 0.667 0.500
```

Peak list (10 most intense, 10° ≤ 2θ ≤ 80°, low angle first)
| (hkl) | 2θ (°) | I (rel.) |
| --- | --- | --- |
| 1 1 0 | 16.45 | 242 |
| 1 1 1 | 28.51 | 238 |
| 2 1 1 | 35.18 | 1000 |
| 3 1 0 | 37.30 | 447 |
| 2 2 1 | 40.89 | 455 |
| 3 1 1 | 44.35 | 362 |
| 0 0 2 | 47.28 | 256 |
| 4 1 0 | 49.29 | 234 |
| 3 1 2 | 61.71 | 209 |
| 5 0 1 | 65.94 | 322 |

TbSi3Ir3: computed XRD peak list (Cu Ka), based on a structure optimized by DFT (GGA-PBE).
Kinematic intensities with the Lorentz-polarization factor, no thermal factor.

Structural model:
```
data_TbSi3Ir3
_chemical_formula_sum 'Tb6 Si18 Ir18'
_cell_length_a 6.8474
_cell_length_b 6.8474
_cell_length_c 19.5583
_cell_angle_alpha 90.00
_cell_angle_beta 90.00
_cell_angle_gamma 120.00
_space_group_name_H-M_alt 'R -3'
_space_group_IT_number 148
_space_group_name_Hall '-R 3'
loop_
_atom_site_label
_atom_site_type_symbol
_atom_site_fract_x
_atom_site_fract_y
_atom_site_fract_z
Tb1 Tb 0.0000 0.0000 0.1655
Si1 Si 0.0013 0.2910 0.5933
Ir1 Ir 0.0018 0.3621 0.3848
```

Peak list (10 most intense, 10° ≤ 2θ ≤ 80°, low angle first)
| (hkl) | 2θ (°) | I (rel.) |
| --- | --- | --- |
| 0 0 3 | 13.58 | 159 |
| 1 0 1 | 15.62 | 121 |
| 1 1 3 | 29.47 | 1000 |
| 2 -1 6 | 38.12 | 673 |
| 0 0 9 | 41.56 | 183 |
| 3 0 0 | 45.91 | 398 |
| 4 -2 3 | 55.50 | 156 |
| 2 2 6 | 61.15 | 146 |
| 1 1 12 | 63.17 | 117 |
| 3 0 9 | 63.63 | 267 |

Tb2Y2Si4Ir: computed XRD peak list (Cu Ka), based on a structure optimized by DFT (GGA-PBE).
Kinematic intensities with the Lorentz-polarization factor, no thermal factor.

Structural model:
```
data_Tb2Y2Si4Ir
_chemical_formula_sum 'Tb4 Y4 Si8 Ir2'
_cell_length_a 6.832
_cell_length_b 6.832
_cell_length_c 8.598
_cell_angle_alpha 90.00
_cell_angle_beta 90.00
_cell_angle_gamma 90.00
_space_group_name_H-M_alt 'I 4/m m m'
_space_group_IT_number 139
_space_group_name_Hall '-I 4 2'
loop_
_atom_site_label
_atom_site_type_symbol
_atom_site_fract_x
_atom_site_fract_y
_atom_site_fract_z
Tb1 Tb 0.000 0.500 0.250
Y1 Y 0.000 0.000 0.189
Si1 Si 0.248 0.248 0.500
Ir1 Ir 0.000 0.000 0.500
```

Peak list (10 most intense, 10° ≤ 2θ ≤ 80°, low angle first)
| (hkl) | 2θ (°) | I (rel.) |
| --- | --- | --- |
| 1 0 1 | 16.57 | 256 |
| 2 0 0 | 26.09 | 1000 |
| 1 1 2 | 27.78 | 732 |
| 2 0 2 | 33.51 | 450 |
| 1 0 3 | 33.92 | 400 |
| 2 2 0 | 37.23 | 781 |
| 2 1 3 | 43.29 | 399 |
| 3 1 2 | 47.08 | 358 |
| 4 0 0 | 53.66 | 270 |
| 2 2 4 | 57.39 | 270 |

TbZn2SiIr: computed XRD peak list (Cu Ka), based on a structure optimized by DFT (GGA-PBE).
Kinematic intensities with the Lorentz-polarization factor, no thermal factor.

Structural model:
```
data_TbZn2SiIr
_chemical_formula_sum 'Tb2 Zn4 Si2 Ir2'
_cell_length_a 3.843
_cell_length_b 4.168
_cell_length_c 10.842
_cell_angle_alpha 90.00
_cell_angle_beta 90.00
_cell_angle_gamma 90.00
_space_group_name_H-M_alt 'I m m 2'
_space_group_IT_number 44
_space_group_name_Hall 'I 2 -2'
loop_
_atom_site_label
_atom_site_type_symbol
_atom_site_fract_x
_atom_site_fract_y
_atom_site_fract_z
Tb1 Tb 0.000 0.000 0.000
Zn1 Zn 0.000 0.000 0.615
Zn2 Zn 0.000 0.500 0.261
Si1 Si 0.000 0.000 0.391
Ir1 Ir 0.000 0.500 0.762
```

Peak list (10 most intense, 10° ≤ 2θ ≤ 80°, low angle first)
| (hkl) | 2θ (°) | I (rel.) |
| --- | --- | --- |
| 1 0 1 | 24.57 | 199 |
| 0 1 3 | 32.80 | 262 |
| 0 0 4 | 33.05 | 167 |
| 1 0 3 | 34.05 | 118 |
| 1 1 2 | 35.84 | 1000 |
| 0 2 0 | 43.42 | 205 |
| 2 0 0 | 47.29 | 229 |
| 1 1 6 | 60.85 | 143 |
| 2 2 0 | 66.14 | 115 |
| 1 3 2 | 74.73 | 117 |